LiFeP3O9: simulated X-ray powder pattern (Cu Kα, 1.54184 Å), based on a cell relaxed with GGA+U.

a = 9.491 Å, b = 9.546 Å, c = 9.764 Å
α = 109.46°, β = 104.74°, γ = 108.50°
Space group P-1 (No. 2)
Unique sites:
Li 0.144 0.352 0.169 (multiplicity 2)
Li 0.151 0.569 0.995 (multiplicity 2)
Fe 0.247 0.733 0.773 (multiplicity 2)
Fe 0.399 0.199 0.289 (multiplicity 2)
P 0.008 0.650 0.393 (multiplicity 2)
P 0.066 0.835 0.204 (multiplicity 2)
P 0.196 0.073 0.912 (multiplicity 2)
P 0.315 0.415 0.581 (multiplicity 2)
P 0.442 0.709 0.334 (multiplicity 2)
P 0.496 0.887 0.143 (multiplicity 2)
O 0.001 0.675 0.055 (multiplicity 2)
O 0.056 0.513 0.753 (multiplicity 2)
O 0.077 0.108 0.794 (multiplicity 2)
O 0.092 0.802 0.358 (multiplicity 2)
O 0.125 0.679 0.545 (multiplicity 2)
O 0.136 0.890 0.860 (multiplicity 2)
O 0.142 0.317 0.580 (multiplicity 2)
O 0.218 0.975 0.241 (multiplicity 2)
O 0.233 0.185 0.082 (multiplicity 2)
O 0.284 0.576 0.200 (multiplicity 2)
O 0.304 0.360 0.414 (multiplicity 2)
O 0.344 0.751 0.002 (multiplicity 2)
O 0.354 0.146 0.878 (multiplicity 2)
O 0.382 0.599 0.686 (multiplicity 2)
O 0.415 0.346 0.677 (multiplicity 2)
O 0.453 0.772 0.499 (multiplicity 2)
O 0.472 0.937 0.822 (multiplicity 2)
O 0.499 0.132 0.701 (multiplicity 2)

Most intense lines, 2θ = 15–90°, low angle first:
2θ/deg  Rel. int.  h k l
18.33  64  0 1 1
19.81  63  1 1 -2
20.23  41  -2 1 1
21.09  44  0 0 2
22.01  46  0 2 0
23.51  40  1 -1 2
24.94  80  2 1 -1
28.54  44  0 1 -3
31.00  100  -3 2 1
32.29  44  2 2 -2